# TiMnGe2
Simulated XRD peak list, CuKα. Input: DFT lattice parameters and positions (GGA-PBE).
Peak positions follow from Bragg's law for the DFT cell and can differ from measured ones.

Crystal structure
a = 8.992 Å, b = 9.912 Å, c = 7.967 Å
α = 90.00°, β = 90.00°, γ = 90.00°
Space group Pbam (No. 55)
Asymmetric unit:
Ti 0.164 0.178 0.000 [4 per cell]
Ti 0.169 0.453 0.242 [8 per cell]
Mn 0.000 0.000 0.243 [4 per cell]
Mn 0.088 0.751 0.248 [8 per cell]
Ge 0.040 0.620 0.000 [4 per cell]
Ge 0.046 0.620 0.500 [4 per cell]
Ge 0.134 0.904 0.500 [4 per cell]
Ge 0.139 0.899 0.000 [4 per cell]
Ge 0.165 0.184 0.337 [8 per cell]

Top 8 peaks for 10 to 90 degrees two-theta, by angle:
- hkl 1 4 0, d = 2.389 Å, I = 48.4
- hkl 3 1 2, d = 2.328 Å, I = 93.3
- hkl 3 3 0, d = 2.220 Å, I = 66.7
- hkl 2 3 2, d = 2.214 Å, I = 100.0
- hkl 4 1 0, d = 2.192 Å, I = 42.7
- hkl 0 4 2, d = 2.104 Å, I = 77.1
- hkl 0 0 4, d = 1.992 Å, I = 38.8
- hkl 2 7 0, d = 1.350 Å, I = 27.9